The following is a computed X-ray diffraction stick pattern of OsRu2Rh8. It was derived from a structure optimized by DFT (GGA-PBE), using Cu Kα, 1.54184 Å.

Crystal structure
Unit cell a=6.459 b=6.459 c=4.087 alpha=90.00 beta=90.00 gamma=103.80
Element x y z (fractional)
Os1 0.000 0.000 0.000
Ru1 0.381 0.619 0.500
Ru2 0.619 0.381 0.500
Rh1 0.036 0.297 0.500
Rh2 0.250 0.750 0.000
Rh3 0.297 0.036 0.500
Rh4 0.332 0.332 0.000
Rh5 0.668 0.668 0.000
Rh6 0.703 0.964 0.500
Rh7 0.750 0.250 0.000
Rh8 0.964 0.703 0.500

Top 10 peaks for 2θ = 10–90°, low angle first:
| d [Å] | Position (°2θ) | intensity |
| --- | --- | --- |
| 2.176 | 41.50 | 94.6 |
| 2.158 | 41.85 | 100.0 |
| 2.091 | 43.27 | 44.1 |
| 2.044 | 44.32 | 42.8 |
| 1.615 | 57.04 | 17.1 |
| 1.462 | 63.67 | 27.5 |
| 1.267 | 74.96 | 15.0 |
| 1.217 | 78.64 | 15.3 |
| 1.201 | 79.88 | 14.7 |
| 1.131 | 85.91 | 24.8 |